1.
ScGa4Ru: calculated powder diffractogram (Cu Kα (λ = 1.5418 Å)), based on DFT lattice parameters and positions (GGA-PBE).
Kinematic intensities with the Lorentz-polarization factor, no thermal factor.

Structure:
Lattice parameters (Å, degrees): 7.313 7.313 4.870 90.00 90.00 90.00
Element x y z (fractional)
1 Sc 0.250 0.750 0.250
2 Sc 0.750 0.250 0.750
3 Ga 0.080 0.250 0.230
4 Ga 0.250 0.080 0.730
5 Ga 0.250 0.420 0.730
6 Ga 0.420 0.250 0.230
7 Ga 0.580 0.750 0.770
8 Ga 0.750 0.580 0.270
9 Ga 0.750 0.920 0.270
10 Ga 0.920 0.750 0.770
11 Ru 0.250 0.750 0.750
12 Ru 0.750 0.250 0.250

The 6 most intense peaks (2θ = 10–90°), by angle:
2θ 21.9, d 4.053, intensity 77; 2θ 24.3, d 3.656, intensity 80; 2θ 36.9, d 2.435, intensity 53; 2θ 38.9, d 2.312, intensity 51; 2θ 41.4, d 2.180, intensity 100; 2θ 53.1, d 1.724, intensity 37



2.
La2Ti2O7: calculated powder diffractogram (Cu Kα (λ = 1.5418 Å)), based on DFT lattice parameters and positions (GGA-PBE).
Kinematic intensities with the Lorentz-polarization factor, no thermal factor.

Structure:
Lattice parameters (Å, degrees): 13.076 13.076 5.665 90.00 90.00 162.81
Element x y z (fractional)
1 La 0.051 0.949 0.500
2 La 0.203 0.797 0.081
3 La 0.797 0.203 0.581
4 La 0.949 0.051 0.000
5 Ti 0.338 0.662 0.034
6 Ti 0.438 0.562 0.495
7 Ti 0.562 0.438 0.995
8 Ti 0.662 0.338 0.534
9 O 0.050 0.950 0.954
10 O 0.153 0.847 0.483
11 O 0.280 0.720 0.821
12 O 0.299 0.701 0.298
13 O 0.381 0.619 0.672
14 O 0.408 0.592 0.169
15 O 0.487 0.513 0.751
16 O 0.513 0.487 0.251
17 O 0.592 0.408 0.669
18 O 0.619 0.381 0.172
19 O 0.701 0.299 0.798
20 O 0.720 0.280 0.321
21 O 0.847 0.153 0.983
22 O 0.950 0.050 0.454

The 6 most intense peaks (2θ = 10–90°), by angle:
2θ 20.8, d 4.261, intensity 48; 2θ 27.6, d 3.232, intensity 43; 2θ 29.6, d 3.014, intensity 100; 2θ 31.6, d 2.833, intensity 37; 2θ 31.9, d 2.807, intensity 34; 2θ 32.8, d 2.731, intensity 43



3.
K2Cd2F7: calculated powder diffractogram (Cu Kα (λ = 1.5418 Å)), based on DFT lattice parameters and positions (GGA-PBE).
Kinematic intensities with the Lorentz-polarization factor, no thermal factor.

Structure:
Lattice parameters (Å, degrees): 5.548 5.548 6.140 90.00 90.00 97.04
Element x y z (fractional)
1 K 0.239 0.239 0.000
2 K 0.761 0.761 0.000
3 Cd 0.273 0.727 0.500
4 Cd 0.727 0.273 0.500
5 F 0.000 0.000 0.500
6 F 0.000 0.500 0.273
7 F 0.000 0.500 0.727
8 F 0.500 0.000 0.273
9 F 0.500 0.000 0.727
10 F 0.500 0.500 0.282
11 F 0.500 0.500 0.718

The 6 most intense peaks (2θ = 10–90°), by angle:
2θ 14.4, d 6.140, intensity 78; 2θ 25.9, d 3.442, intensity 95; 2θ 28.3, d 3.153, intensity 100; 2θ 44.2, d 2.049, intensity 82; 2θ 49.6, d 1.837, intensity 32; 2θ 52.8, d 1.735, intensity 25



4.
SrY2Cu: calculated powder diffractogram (Cu Kα (λ = 1.5418 Å)), based on DFT lattice parameters and positions (GGA-PBE).
Kinematic intensities with the Lorentz-polarization factor, no thermal factor.

Structure:
Lattice parameters (Å, degrees): 3.588 3.588 9.607 90.00 90.00 90.00
Element x y z (fractional)
1 Sr 0.000 0.000 0.000
2 Y 0.500 0.500 0.329
3 Y 0.500 0.500 0.671
4 Cu 0.000 0.000 0.500

The 6 most intense peaks (2θ = 10–90°), by angle:
2θ 26.5, d 3.361, intensity 25; 2θ 31.1, d 2.875, intensity 100; 2θ 35.4, d 2.537, intensity 61; 2θ 37.6, d 2.389, intensity 23; 2θ 45.4, d 1.996, intensity 27; 2θ 60.9, d 1.522, intensity 28



5.
Li2NpOsO6: calculated powder diffractogram (Cu Kα (λ = 1.5418 Å)), based on DFT lattice parameters and positions (GGA-PBE).
Kinematic intensities with the Lorentz-polarization factor, no thermal factor.

Structure:
Lattice parameters (Å, degrees): 5.844 5.844 3.958 90.00 90.00 90.00
Element x y z (fractional)
1 Li 0.000 0.500 0.000
2 Li 0.500 0.000 0.000
3 Np 0.000 0.000 0.981
4 Os 0.500 0.500 0.984
5 O 0.000 0.000 0.482
6 O 0.255 0.255 0.985
7 O 0.255 0.745 0.985
8 O 0.500 0.500 0.485
9 O 0.745 0.255 0.985
10 O 0.745 0.745 0.985

The 6 most intense peaks (2θ = 10–90°), by angle:
2θ 21.5, d 4.132, intensity 100; 2θ 22.5, d 3.958, intensity 50; 2θ 30.6, d 2.922, intensity 33; 2θ 31.3, d 2.858, intensity 56; 2θ 38.3, d 2.351, intensity 26; 2θ 54.8, d 1.674, intensity 25



6.
Nd4MgZn2Ru: calculated powder diffractogram (Cu Kα (λ = 1.5418 Å)), based on DFT lattice parameters and positions (GGA-PBE).
Kinematic intensities with the Lorentz-polarization factor, no thermal factor.

Structure:
Lattice parameters (Å, degrees): 9.022 9.022 9.022 33.73 33.73 33.73
Element x y z (fractional)
1 Nd 0.114 0.114 0.114
2 Nd 0.367 0.367 0.367
3 Nd 0.633 0.633 0.633
4 Nd 0.886 0.886 0.886
5 Mg 0.500 0.500 0.500
6 Zn 0.238 0.238 0.238
7 Zn 0.762 0.762 0.762
8 Ru 0.000 0.000 0.000

The 6 most intense peaks (2θ = 10–90°), by angle:
2θ 24.1, d 3.695, intensity 29; 2θ 34.3, d 2.617, intensity 100; 2θ 34.4, d 2.608, intensity 78; 2θ 47.3, d 1.923, intensity 16; 2θ 49.3, d 1.847, intensity 28; 2θ 61.4, d 1.510, intensity 47



7.
Li3As4Pt2Rh2: calculated powder diffractogram (Cu Kα (λ = 1.5418 Å)), based on DFT lattice parameters and positions (GGA-PBE).
Kinematic intensities with the Lorentz-polarization factor, no thermal factor.

Structure:
Lattice parameters (Å, degrees): 4.254 4.254 11.576 90.00 90.00 120.00
Element x y z (fractional)
1 Li 0.000 0.000 0.000
2 Li 0.000 0.000 0.266
3 Li 0.000 0.000 0.734
4 As 0.333 0.667 0.370
5 As 0.333 0.667 0.891
6 As 0.667 0.333 0.109
7 As 0.667 0.333 0.630
8 Pt 0.333 0.667 0.122
9 Pt 0.667 0.333 0.878
10 Rh 0.333 0.667 0.579
11 Rh 0.667 0.333 0.421

The 6 most intense peaks (2θ = 10–90°), by angle:
2θ 24.2, d 3.684, intensity 100; 2θ 28.7, d 3.108, intensity 37; 2θ 30.9, d 2.894, intensity 53; 2θ 39.6, d 2.276, intensity 52; 2θ 42.5, d 2.127, intensity 99; 2θ 53.5, d 1.714, intensity 67



8.
Sc4NiBi: calculated powder diffractogram (Cu Kα (λ = 1.5418 Å)), based on DFT lattice parameters and positions (GGA-PBE).
Kinematic intensities with the Lorentz-polarization factor, no thermal factor.

Structure:
Lattice parameters (Å, degrees): 7.790 7.790 7.116 106.61 106.61 42.84
Element x y z (fractional)
1 Sc 0.035 0.797 0.549
2 Sc 0.200 0.427 0.851
3 Sc 0.203 0.965 0.951
4 Sc 0.427 0.200 0.351
5 Sc 0.573 0.800 0.649
6 Sc 0.797 0.035 0.049
7 Sc 0.800 0.573 0.149
8 Sc 0.965 0.203 0.451
9 Ni 0.000 0.500 0.500
10 Ni 0.500 0.000 0.000
11 Bi 0.369 0.631 0.250
12 Bi 0.631 0.369 0.750

The 6 most intense peaks (2θ = 10–90°), by angle:
2θ 12.8, d 6.901, intensity 51; 2θ 22.6, d 3.937, intensity 67; 2θ 25.2, d 3.531, intensity 58; 2θ 33.1, d 2.707, intensity 61; 2θ 35.1, d 2.555, intensity 100; 2θ 41.6, d 2.169, intensity 48



9.
MgH3Ir5: calculated powder diffractogram (Cu Kα (λ = 1.5418 Å)), based on DFT lattice parameters and positions (GGA-PBE).
Kinematic intensities with the Lorentz-polarization factor, no thermal factor.

Structure:
Lattice parameters (Å, degrees): 5.006 5.006 4.913 99.36 99.36 120.92
Element x y z (fractional)
1 Mg 0.000 0.000 0.000
2 H 0.155 0.155 0.487
3 H 0.318 0.957 0.848
4 H 0.957 0.318 0.848
5 Ir 0.164 0.797 0.465
6 Ir 0.364 0.671 0.001
7 Ir 0.526 0.526 0.488
8 Ir 0.671 0.364 0.001
9 Ir 0.797 0.164 0.465

The 6 most intense peaks (2θ = 10–90°), by angle:
2θ 38.3, d 2.353, intensity 100; 2θ 38.6, d 2.330, intensity 54; 2θ 38.8, d 2.319, intensity 49; 2θ 44.5, d 2.034, intensity 62; 2θ 45.2, d 2.008, intensity 33; 2θ 65.4, d 1.426, intensity 30



10.
Pr3CSe2: calculated powder diffractogram (Cu Kα (λ = 1.5418 Å)), based on DFT lattice parameters and positions (GGA-PBE).
Kinematic intensities with the Lorentz-polarization factor, no thermal factor.

Structure:
Lattice parameters (Å, degrees): 13.548 12.914 7.192 79.16 69.42 31.42
Element x y z (fractional)
1 Pr 0.035 0.534 0.182
2 Pr 0.088 0.662 0.662
3 Pr 0.182 0.748 0.035
4 Pr 0.252 0.818 0.466
5 Pr 0.338 0.912 0.912
6 Pr 0.466 0.965 0.252
7 Pr 0.534 0.035 0.748
8 Pr 0.662 0.088 0.088
9 Pr 0.748 0.182 0.534
10 Pr 0.818 0.252 0.965
11 Pr 0.912 0.338 0.338
12 Pr 0.965 0.466 0.818
13 C 0.041 0.041 0.209
14 C 0.209 0.209 0.041
15 C 0.791 0.791 0.959
16 C 0.959 0.959 0.791
17 Se 0.128 0.128 0.622
18 Se 0.296 0.296 0.454
19 Se 0.378 0.378 0.872
20 Se 0.454 0.454 0.296
21 Se 0.546 0.546 0.704
22 Se 0.622 0.622 0.128
23 Se 0.704 0.704 0.546
24 Se 0.872 0.872 0.378

The 6 most intense peaks (2θ = 10–90°), by angle:
2θ 26.2, d 3.401, intensity 24; 2θ 26.7, d 3.343, intensity 26; 2θ 30.5, d 2.926, intensity 52; 2θ 30.6, d 2.917, intensity 100; 2θ 43.8, d 2.066, intensity 68; 2θ 54.9, d 1.672, intensity 18



11.
BaCa3Te4: calculated powder diffractogram (Cu Kα (λ = 1.5418 Å)), based on DFT lattice parameters and positions (GGA-PBE).
Kinematic intensities with the Lorentz-polarization factor, no thermal factor.

Structure:
Lattice parameters (Å, degrees): 4.616 4.616 30.645 90.00 90.00 120.00
Element x y z (fractional)
1 Ba 0.333 0.667 0.250
2 Ba 0.667 0.333 0.750
3 Ca 0.000 0.000 0.000
4 Ca 0.000 0.000 0.500
5 Ca 0.333 0.667 0.618
6 Ca 0.333 0.667 0.882
7 Ca 0.667 0.333 0.118
8 Ca 0.667 0.333 0.382
9 Te 0.000 0.000 0.177
10 Te 0.000 0.000 0.323
11 Te 0.000 0.000 0.677
12 Te 0.000 0.000 0.823
13 Te 0.333 0.667 0.059
14 Te 0.333 0.667 0.441
15 Te 0.667 0.333 0.559
16 Te 0.667 0.333 0.941

The 6 most intense peaks (2θ = 10–90°), by angle:
2θ 26.6, d 3.348, intensity 85; 2θ 28.3, d 3.148, intensity 100; 2θ 39.0, d 2.308, intensity 66; 2θ 39.4, d 2.286, intensity 30; 2θ 48.9, d 1.861, intensity 22; 2θ 63.1, d 1.474, intensity 20



12.
PdCl4: calculated powder diffractogram (Cu Kα (λ = 1.5418 Å)), based on DFT lattice parameters and positions (GGA-PBE).
Kinematic intensities with the Lorentz-polarization factor, no thermal factor.

Structure:
Lattice parameters (Å, degrees): 7.776 7.776 6.128 93.06 93.06 129.49
Element x y z (fractional)
1 Pd 0.063 0.937 0.750
2 Pd 0.937 0.063 0.250
3 Cl 0.031 0.389 0.136
4 Cl 0.141 0.262 0.595
5 Cl 0.262 0.141 0.095
6 Cl 0.389 0.031 0.636
7 Cl 0.611 0.969 0.364
8 Cl 0.738 0.859 0.905
9 Cl 0.859 0.738 0.405
10 Cl 0.969 0.611 0.864

The 6 most intense peaks (2θ = 10–90°), by angle:
2θ 12.6, d 7.033, intensity 30; 2θ 14.9, d 5.963, intensity 100; 2θ 19.3, d 4.599, intensity 27; 2θ 26.6, d 3.345, intensity 33; 2θ 34.6, d 2.592, intensity 25; 2θ 39.0, d 2.308, intensity 30



13.
PuTlPd14: calculated powder diffractogram (Cu Kα (λ = 1.5418 Å)), based on DFT lattice parameters and positions (GGA-PBE).
Kinematic intensities with the Lorentz-polarization factor, no thermal factor.

Structure:
Lattice parameters (Å, degrees): 5.777 5.777 7.851 90.00 90.00 90.00
Element x y z (fractional)
1 Pu 0.000 0.000 0.000
2 Tl 0.500 0.500 0.000
3 Pd 0.000 0.000 0.500
4 Pd 0.000 0.500 0.000
5 Pd 0.000 0.500 0.500
6 Pd 0.249 0.249 0.256
7 Pd 0.249 0.249 0.744
8 Pd 0.249 0.751 0.256
9 Pd 0.249 0.751 0.744
10 Pd 0.500 0.000 0.000
11 Pd 0.500 0.000 0.500
12 Pd 0.500 0.500 0.500
13 Pd 0.751 0.249 0.256
14 Pd 0.751 0.249 0.744
15 Pd 0.751 0.751 0.256
16 Pd 0.751 0.751 0.744

The 6 most intense peaks (2θ = 10–90°), by angle:
2θ 38.7, d 2.326, intensity 100; 2θ 44.4, d 2.042, intensity 34; 2θ 46.3, d 1.963, intensity 15; 2θ 66.0, d 1.415, intensity 20; 2θ 77.9, d 1.227, intensity 25; 2θ 80.6, d 1.192, intensity 12